Mg5Si9: simulated XRD peak list (Cu Kα X-rays), based on a DFT-relaxed cell (PBE, the Materials Project).
Neutral-atom scattering factors, no anomalous dispersion.

Crystal structure
Unit cell a=7.4609 b=7.4879 c=10.3429 alpha=77.24 beta=89.93 gamma=61.82
Sites, in units of the cell vectors:
Mg1 0.0000 0.0000 0.0000
Mg2 0.0013 0.9633 0.7076
Mg3 0.0222 0.8235 0.2834
Mg4 0.0765 0.5232 0.1137
Mg5 0.2026 0.5574 0.5724
Mg6 0.4855 0.6756 0.7049
Mg7 0.5912 0.1916 0.8235
Mg8 0.6265 0.7780 0.1172
Mg9 0.8979 0.4815 0.4165
Mg10 0.9582 0.3759 0.7338
Si1 0.1908 0.9754 0.4848
Si2 0.1992 0.5375 0.8503
Si3 0.2063 0.0999 0.2348
Si4 0.3075 0.1915 0.0054
Si5 0.3142 0.9791 0.8564
Si6 0.3337 0.2711 0.3629
Si7 0.3682 0.1148 0.6102
Si8 0.3992 0.6261 0.9834
Si9 0.4430 0.5017 0.2269
Si10 0.4451 0.6961 0.3934
Si11 0.6264 0.9283 0.3528
Si12 0.6288 0.1588 0.1150
Si13 0.6494 0.3639 0.5670
Si14 0.7398 0.8286 0.6110
Si15 0.7561 0.4350 0.9578
Si16 0.8160 0.0945 0.4456
Si17 0.8251 0.3237 0.2082
Si18 0.8291 0.7484 0.8646

Largest 8 diffraction maxima, in order of rising 2θ, 2θ = 10–90°:
35.87 deg, rel. 40
36.10 deg, rel. 25
36.82 deg, rel. 98
36.95 deg, rel. 60
37.58 deg, rel. 34
38.09 deg, rel. 30
38.68 deg, rel. 41
40.40 deg, rel. 100